No. 1
Starting from a GGA-PBE-relaxed structure, the X-ray diffraction stick pattern of Sm3Ho3NiTe2 was simulated for Cu Kα, 1.54184 Å.
No peak broadening, texture or thermal motion is included.

Most intense lines, 2θ from 15° to 90°, low angle first:
2θ (°), I_rel
30.9, 100
32.4, 79
33.3, 71
36.9, 27
39.7, 33
45.6, 21
50.6, 21
57.0, 32
59.9, 28
62.8, 16

Atomic structure:
a b c (Å): 8.431 8.431 3.982
angles (deg): 90.00 90.00 120.00
Fractional positions:
Sm 0.000 0.405 0.000
Sm 0.405 0.000 0.000
Sm 0.595 0.595 0.000
Ho 0.000 0.764 0.500
Ho 0.236 0.236 0.500
Ho 0.764 0.000 0.500
Ni 0.000 0.000 0.000
Te 0.333 0.667 0.500
Te 0.667 0.333 0.500

=====

No. 2
Starting from a GGA-PBE-relaxed structure, the X-ray diffraction stick pattern of LaPrNd2Zn12Ge6 was simulated for Cu Kα, 1.54184 Å.
No peak broadening, texture or thermal motion is included.

Most intense lines, 2θ from 15° to 90°, low angle first:
2θ (°), I_rel
31.8, 100
34.6, 14
35.7, 22
40.6, 33
42.1, 52
43.9, 24
49.3, 13
52.5, 14
61.4, 19
68.5, 21

Atomic structure:
a b c (Å): 7.689 4.122 13.320
angles (deg): 90.00 90.00 90.00
Fractional positions:
La 0.000 0.000 0.000
Pr 0.500 0.000 0.832
Nd 0.000 0.000 0.334
Nd 0.500 0.000 0.500
Zn 0.145 0.500 0.522
Zn 0.145 0.500 0.810
Zn 0.189 0.000 0.666
Zn 0.211 0.500 0.167
Zn 0.405 0.000 0.261
Zn 0.408 0.000 0.072
Zn 0.644 0.500 0.022
Zn 0.644 0.500 0.312
Zn 0.689 0.000 0.168
Zn 0.710 0.500 0.666
Zn 0.905 0.000 0.572
Zn 0.905 0.000 0.760
Ge 0.309 0.500 0.358
Ge 0.310 0.500 0.976
Ge 0.381 0.500 0.665
Ge 0.809 0.500 0.476
Ge 0.810 0.500 0.856
Ge 0.881 0.500 0.168

=====

No. 3
Starting from a GGA-PBE-relaxed structure, the X-ray diffraction stick pattern of HoH7C8SO9 was simulated for Cu Kα, 1.54184 Å.
No peak broadening, texture or thermal motion is included.

Most intense lines, 2θ from 15° to 90°, low angle first:
2θ (°), I_rel
15.2, 88
15.7, 70
16.0, 39
18.8, 89
20.8, 28
21.1, 26
21.7, 27
22.0, 100
30.7, 55
43.6, 28

Atomic structure:
a b c (Å): 6.238 8.505 10.499
angles (deg): 91.03 99.88 107.98
Fractional positions:
Ho 0.154 0.246 0.115
Ho 0.846 0.754 0.885
H 0.186 0.153 0.555
H 0.309 0.957 0.110
H 0.342 0.641 0.787
H 0.353 0.641 0.583
H 0.390 0.589 0.355
H 0.416 0.492 0.851
H 0.461 0.904 0.820
H 0.539 0.096 0.180
H 0.584 0.508 0.149
H 0.610 0.411 0.645
H 0.647 0.359 0.417
H 0.658 0.359 0.213
H 0.691 0.043 0.890
H 0.814 0.847 0.445
C 0.017 0.756 0.657
C 0.022 0.224 0.701
C 0.053 0.203 0.575
C 0.079 0.747 0.528
C 0.134 0.697 0.272
C 0.156 0.654 0.137
C 0.246 0.678 0.504
C 0.268 0.650 0.376
C 0.732 0.350 0.624
C 0.754 0.322 0.496
C 0.844 0.346 0.863
C 0.866 0.303 0.728
C 0.921 0.253 0.472
C 0.947 0.797 0.425
C 0.978 0.776 0.299
C 0.983 0.244 0.343
S 0.215 0.166 0.821
S 0.785 0.834 0.179
O 0.087 0.026 0.888
O 0.146 0.738 0.762
O 0.150 0.758 0.051
O 0.174 0.221 0.336
O 0.179 0.515 0.116
O 0.315 0.310 0.920
O 0.379 0.127 0.755
O 0.380 0.077 0.136
O 0.468 0.591 0.802
O 0.532 0.409 0.198
O 0.620 0.923 0.864
O 0.621 0.873 0.245
O 0.685 0.690 0.080
O 0.821 0.485 0.884
O 0.826 0.779 0.664
O 0.850 0.242 0.949
O 0.854 0.262 0.238
O 0.913 0.974 0.112

=====

No. 4
Starting from a GGA-PBE-relaxed structure, the X-ray diffraction stick pattern of Sm2Sc2CI2Br2Cl was simulated for Cu Kα, 1.54184 Å.
No peak broadening, texture or thermal motion is included.

Most intense lines, 2θ from 15° to 90°, low angle first:
2θ (°), I_rel
19.9, 46
26.2, 34
30.0, 41
31.4, 20
32.6, 100
34.7, 22
38.3, 25
44.7, 25
45.1, 18
48.1, 19

Atomic structure:
a b c (Å): 9.319 9.319 8.001
angles (deg): 101.72 101.72 23.42
Fractional positions:
Sm 0.136 0.136 0.073
Sm 0.864 0.864 0.927
Sc 0.499 0.499 0.190
Sc 0.501 0.501 0.810
C 0.000 0.000 0.000
I 0.333 0.333 0.209
I 0.667 0.667 0.791
Br 0.352 0.352 0.652
Br 0.648 0.648 0.348
Cl 0.000 0.000 0.500

=====

No. 5
Starting from a GGA-PBE-relaxed structure, the X-ray diffraction stick pattern of Hf2HCBr was simulated for Cu Kα, 1.54184 Å.
No peak broadening, texture or thermal motion is included.

Most intense lines, 2θ from 15° to 90°, low angle first:
2θ (°), I_rel
30.8, 27
32.3, 37
36.7, 100
39.7, 15
43.1, 21
51.0, 16
54.7, 22
67.7, 17
69.6, 18
70.0, 13

Atomic structure:
a b c (Å): 3.357 3.357 9.092
angles (deg): 90.00 90.00 120.00
Fractional positions:
Hf 0.000 0.000 0.000
Hf 0.333 0.667 0.263
H 0.333 0.667 0.894
C 0.667 0.333 0.135
Br 0.000 0.000 0.479

=====

No. 6
Starting from a GGA-PBE-relaxed structure, the X-ray diffraction stick pattern of LaZn2 was simulated for Cu Kα, 1.54184 Å.
No peak broadening, texture or thermal motion is included.

Most intense lines, 2θ from 15° to 90°, low angle first:
2θ (°), I_rel
22.3, 14
32.5, 27
32.8, 100
33.4, 42
37.9, 17
38.6, 35
40.2, 51
52.0, 24
64.4, 16
66.2, 13

Atomic structure:
a b c (Å): 4.662 7.485 7.686
angles (deg): 90.00 90.00 90.00
Fractional positions:
La 0.000 0.250 0.034
La 0.000 0.750 0.966
La 0.500 0.250 0.466
La 0.500 0.750 0.534
Zn 0.000 0.054 0.666
Zn 0.000 0.446 0.666
Zn 0.000 0.554 0.334
Zn 0.000 0.946 0.334
Zn 0.500 0.054 0.834
Zn 0.500 0.446 0.834
Zn 0.500 0.554 0.166
Zn 0.500 0.946 0.166

=====

No. 7
Starting from a GGA-PBE-relaxed structure, the X-ray diffraction stick pattern of Sc2ReOs3 was simulated for Cu Kα, 1.54184 Å.
No peak broadening, texture or thermal motion is included.

Most intense lines, 2θ from 15° to 90°, low angle first:
2θ (°), I_rel
19.4, 51
21.3, 33
22.1, 39
37.8, 30
40.4, 72
40.9, 100
43.4, 29
45.2, 54
51.7, 33
71.4, 25

Atomic structure:
a b c (Å): 5.286 5.286 8.346
angles (deg): 90.00 90.00 120.00
Fractional positions:
Sc 0.333 0.667 0.066
Sc 0.333 0.667 0.434
Sc 0.667 0.333 0.566
Sc 0.667 0.333 0.934
Re 0.000 0.000 0.000
Re 0.000 0.000 0.500
Os 0.174 0.347 0.750
Os 0.174 0.826 0.750
Os 0.347 0.174 0.250
Os 0.653 0.826 0.750
Os 0.826 0.174 0.250
Os 0.826 0.653 0.250

=====

No. 8
Starting from a GGA-PBE-relaxed structure, the X-ray diffraction stick pattern of GdLu2Hg was simulated for Cu Kα, 1.54184 Å.
No peak broadening, texture or thermal motion is included.

Most intense lines, 2θ from 15° to 90°, low angle first:
2θ (°), I_rel
31.3, 8
31.4, 24
32.1, 35
34.2, 100
35.4, 9
45.5, 17
57.7, 9
58.6, 22
63.1, 8
65.2, 7

Atomic structure:
a b c (Å): 5.583 11.401 6.942
angles (deg): 90.00 90.00 90.00
Fractional positions:
Gd 0.250 0.123 0.000
Gd 0.250 0.623 0.500
Gd 0.750 0.377 0.500
Gd 0.750 0.877 0.000
Lu 0.250 0.166 0.514
Lu 0.250 0.407 0.797
Lu 0.250 0.666 0.014
Lu 0.250 0.907 0.297
Lu 0.750 0.093 0.297
Lu 0.750 0.334 0.014
Lu 0.750 0.593 0.797
Lu 0.750 0.834 0.514
Hg 0.250 0.380 0.247
Hg 0.250 0.880 0.747
Hg 0.750 0.120 0.747
Hg 0.750 0.620 0.247

=====

No. 9
Starting from a GGA-PBE-relaxed structure, the X-ray diffraction stick pattern of Ag9Pb was simulated for Cu Kα, 1.54184 Å.
No peak broadening, texture or thermal motion is included.

Most intense lines, 2θ from 15° to 90°, low angle first:
2θ (°), I_rel
35.7, 23
36.8, 51
38.0, 100
42.9, 58
44.4, 18
62.3, 18
63.4, 23
74.6, 12
75.4, 25
79.7, 12

Atomic structure:
a b c (Å): 2.979 2.979 46.959
angles (deg): 90.00 90.00 90.00
Fractional positions:
Ag 0.250 0.250 0.021
Ag 0.250 0.250 0.105
Ag 0.250 0.250 0.191
Ag 0.250 0.250 0.277
Ag 0.250 0.250 0.364
Ag 0.250 0.250 0.680
Ag 0.250 0.250 0.766
Ag 0.250 0.250 0.852
Ag 0.250 0.250 0.937
Ag 0.750 0.750 0.063
Ag 0.750 0.750 0.148
Ag 0.750 0.750 0.234
Ag 0.750 0.750 0.320
Ag 0.750 0.750 0.636
Ag 0.750 0.750 0.723
Ag 0.750 0.750 0.809
Ag 0.750 0.750 0.895
Ag 0.750 0.750 0.979
Pb 0.250 0.250 0.584
Pb 0.750 0.750 0.416

=====

No. 10
Starting from a GGA-PBE-relaxed structure, the X-ray diffraction stick pattern of GdYNi2B2P2 was simulated for Cu Kα, 1.54184 Å.
No peak broadening, texture or thermal motion is included.

Most intense lines, 2θ from 15° to 90°, low angle first:
2θ (°), I_rel
25.4, 77
32.4, 26
34.2, 42
34.4, 61
39.8, 100
41.4, 26
46.4, 50
58.9, 33
68.6, 24
81.6, 23

Atomic structure:
a b c (Å): 3.912 3.912 7.871
angles (deg): 90.00 90.00 90.00
Fractional positions:
Gd 0.000 0.000 0.000
Y 0.500 0.500 0.590
Ni 0.000 0.500 0.294
Ni 0.500 0.000 0.294
B 0.000 0.000 0.386
B 0.500 0.500 0.199
P 0.000 0.000 0.634
P 0.500 0.500 0.951

=====

No. 11
Starting from a GGA-PBE-relaxed structure, the X-ray diffraction stick pattern of Rb4IrO6 was simulated for Cu Kα, 1.54184 Å.
No peak broadening, texture or thermal motion is included.

Most intense lines, 2θ from 15° to 90°, low angle first:
2θ (°), I_rel
16.6, 44
17.1, 51
26.4, 45
28.6, 22
29.9, 100
33.5, 29
37.9, 40
40.3, 30
52.3, 24
62.1, 24

Atomic structure:
a b c (Å): 7.445 7.445 7.445
angles (deg): 88.09 88.09 88.09
Fractional positions:
Rb 0.106 0.750 0.394
Rb 0.250 0.250 0.250
Rb 0.250 0.606 0.894
Rb 0.394 0.106 0.750
Rb 0.606 0.894 0.250
Rb 0.750 0.394 0.106
Rb 0.750 0.750 0.750
Rb 0.894 0.250 0.606
Ir 0.000 0.000 0.000
Ir 0.500 0.500 0.500
O 0.058 0.934 0.759
O 0.066 0.241 0.942
O 0.241 0.942 0.066
O 0.259 0.434 0.558
O 0.434 0.558 0.259
O 0.442 0.741 0.566
O 0.558 0.259 0.434
O 0.566 0.442 0.741
O 0.741 0.566 0.442
O 0.759 0.058 0.934
O 0.934 0.759 0.058
O 0.942 0.066 0.241

=====

No. 12
Starting from a GGA-PBE-relaxed structure, the X-ray diffraction stick pattern of NdZnCu2Pd2 was simulated for Cu Kα, 1.54184 Å.
No peak broadening, texture or thermal motion is included.

Most intense lines, 2θ from 15° to 90°, low angle first:
2θ (°), I_rel
28.7, 41
29.5, 54
34.4, 29
38.3, 69
39.1, 84
40.9, 100
43.6, 55
59.4, 38
63.5, 26
88.7, 26

Atomic structure:
a b c (Å): 5.541 8.849 4.154
angles (deg): 90.00 90.00 90.00
Fractional positions:
Nd 0.000 0.000 0.000
Nd 0.500 0.500 0.000
Zn 0.000 0.500 0.500
Zn 0.500 0.000 0.500
Cu 0.000 0.343 0.000
Cu 0.000 0.657 0.000
Cu 0.500 0.157 0.000
Cu 0.500 0.843 0.000
Pd 0.250 0.250 0.500
Pd 0.250 0.750 0.500
Pd 0.750 0.250 0.500
Pd 0.750 0.750 0.500